(1)
This entry pairs a crystal structure of PmAlCu2 with its computed X-ray powder pattern. Radiation: copper Kα. Structure: a PBE-relaxed structure.
Neutral-atom scattering factors, no anomalous dispersion.

The 8 most intense peaks (5° ≤ 2θ ≤ 70°), most intense first:
d [Å]	I_rel
2.319	100
3.786	36
1.977	18
1.640	17
1.505	8
3.279	2
1.466	1
1.893	1

Atomic structure:
```
data_PmAlCu2
_chemical_formula_sum 'Pm4 Al4 Cu8'
_cell_length_a 6.558
_cell_length_b 6.558
_cell_length_c 6.558
_cell_angle_alpha 90.00
_cell_angle_beta 90.00
_cell_angle_gamma 90.00
_space_group_name_H-M_alt 'F m -3 m'
_space_group_IT_number 225
_space_group_name_Hall '-F 4 2 3'
loop_
_atom_site_label
_atom_site_type_symbol
_atom_site_fract_x
_atom_site_fract_y
_atom_site_fract_z
Pm1 Pm 0.000 0.000 0.000
Al1 Al 0.000 0.000 0.500
Cu1 Cu 0.250 0.250 0.250
```



(2)
This entry pairs a crystal structure of Y6NiBr10 with its computed X-ray powder pattern. Radiation: copper Kα. Structure: a PBE-relaxed structure.
Neutral-atom scattering factors, no anomalous dispersion.

The 10 most intense peaks (5° ≤ 2θ ≤ 70°), most intense first:
d [Å]	I_rel
2.961	100
2.915	98
2.890	97
2.058	68
8.487	35
2.029	34
8.207	34
2.110	33
2.095	33
2.049	32

Atomic structure:
```
data_Y6NiBr10
_chemical_formula_sum 'Y6 Ni1 Br10'
_cell_length_a 7.342
_cell_length_b 9.161
_cell_length_c 9.186
_cell_angle_alpha 108.38
_cell_angle_beta 97.03
_cell_angle_gamma 105.78
_space_group_name_H-M_alt 'P -1'
_space_group_IT_number 2
loop_
_space_group_symop_operation_xyz
'x,y,z'
'-x,-y,-z'
loop_
_atom_site_label
_atom_site_type_symbol
_atom_site_fract_x
_atom_site_fract_y
_atom_site_fract_z
Y1 Y 0.026 0.203 0.406
Y2 Y 0.122 0.543 0.254
Y3 Y 0.359 0.636 0.677
Ni1 Ni 0.000 0.500 0.500
Br1 Br 0.087 0.871 0.324
Br2 Br 0.212 0.238 0.148
Br3 Br 0.257 0.586 0.962
Br4 Br 0.360 0.961 0.775
Br5 Br 0.451 0.321 0.587
```



(3)
This entry pairs a crystal structure of InBN2 with its computed X-ray powder pattern. Radiation: copper Kα. Structure: a PBE-relaxed structure.
Neutral-atom scattering factors, no anomalous dispersion.

The 10 most intense peaks (5° ≤ 2θ ≤ 70°), most intense first:
d [Å]	I_rel
2.562	100
4.945	77
2.995	52
1.907	45
1.729	22
1.632	22
1.444	17
1.433	16
1.417	11
2.472	10

Atomic structure:
```
data_InBN2
_chemical_formula_sum 'In2 B2 N4'
_cell_length_a 3.4586
_cell_length_b 3.4586
_cell_length_c 9.8899
_cell_angle_alpha 90.00
_cell_angle_beta 90.00
_cell_angle_gamma 120.00
_space_group_name_H-M_alt 'P 63/m m c'
_space_group_IT_number 194
_space_group_name_Hall '-P 6c 2c'
loop_
_atom_site_label
_atom_site_type_symbol
_atom_site_fract_x
_atom_site_fract_y
_atom_site_fract_z
In1 In 0.0000 0.0000 0.0000
B1 B 0.3333 0.6667 0.2500
N1 N 0.3333 0.6667 0.1143
```



(4)
This entry pairs a crystal structure of TbAl7Au3 with its computed X-ray powder pattern. Radiation: copper Kα. Structure: a PBE-relaxed structure.
Neutral-atom scattering factors, no anomalous dispersion.

The 10 most intense peaks (5° ≤ 2θ ≤ 70°), most intense first:
d [Å]	I_rel
3.516	100
1.949	44
2.341	38
2.661	35
2.034	31
1.408	18
1.497	18
1.405	12
1.757	9
2.372	8

Atomic structure:
```
data_TbAl7Au3
_chemical_formula_sum 'Tb6 Al42 Au18'
_cell_length_a 8.1087
_cell_length_b 8.1087
_cell_length_c 21.1563
_cell_angle_alpha 90.00
_cell_angle_beta 90.00
_cell_angle_gamma 120.00
_space_group_name_H-M_alt 'R -3 c'
_space_group_IT_number 167
_space_group_name_Hall '-R 3 2"c'
loop_
_atom_site_label
_atom_site_type_symbol
_atom_site_fract_x
_atom_site_fract_y
_atom_site_fract_z
Tb1 Tb 0.0000 0.0000 0.0000
Al1 Al 0.0000 0.0000 0.2500
Al2 Al 0.0105 0.2064 0.1367
Au1 Au 0.0000 0.3234 0.2500
```